For Tb3Pm2Sm5, a GGA-PBE-relaxed structure gives the theoretical XRD peak list in this record (Cu Kα).

Peak list (8 most intense, 5 to 70 degrees two-theta, most intense first)
| d_spacing | Position (°2θ) | I (rel.) |
| --- | --- | --- |
| 2.917 | 30.65 | 100 |
| 2.769 | 32.33 | 60 |
| 2.740 | 32.68 | 42 |
| 3.576 | 24.90 | 37 |
| 2.253 | 40.02 | 33 |
| 2.782 | 32.17 | 19 |
| 1.829 | 49.86 | 18 |
| 4.719 | 18.80 | 18 |

Structural model:
a = 12.422 Å, b = 12.422 Å, c = 12.422 Å
α = 135.34°, β = 56.12°, γ = 147.80°
Sites, in units of the cell vectors:
Tb (0.122, 0.249, 0.371)
Tb (0.250, 0.250, 0.000)
Tb (0.378, 0.749, 0.127)
Tb (0.622, 0.251, 0.873)
Tb (0.750, 0.750, 0.000)
Tb (0.878, 0.751, 0.629)
Pm (0.123, 0.901, 0.024)
Pm (0.377, 0.401, 0.779)
Pm (0.623, 0.599, 0.221)
Pm (0.877, 0.099, 0.976)
Sm (0.001, 0.250, 0.751)
Sm (0.126, 0.594, 0.720)
Sm (0.250, 0.750, 0.500)
Sm (0.374, 0.094, 0.468)
Sm (0.499, 0.250, 0.249)
Sm (0.501, 0.750, 0.751)
Sm (0.626, 0.906, 0.532)
Sm (0.750, 0.250, 0.500)
Sm (0.874, 0.406, 0.280)
Sm (0.999, 0.750, 0.249)


For K15Cd, a GGA-PBE-relaxed structure gives the theoretical XRD peak list in this record (Cu Kα).

Peak list (8 most intense, 5 to 70 degrees two-theta, most intense first)
| d_spacing | Position (°2θ) | I (rel.) |
| --- | --- | --- |
| 3.501 | 25.44 | 100 |
| 3.710 | 23.98 | 24 |
| 3.970 | 22.39 | 24 |
| 1.950 | 46.57 | 21 |
| 2.292 | 39.30 | 19 |
| 2.099 | 43.09 | 19 |
| 2.711 | 33.04 | 16 |
| 1.918 | 47.40 | 15 |

Structural model:
a = 9.169 Å, b = 9.169 Å, c = 14.841 Å
α = 90.00°, β = 90.00°, γ = 120.00°
Sites, in units of the cell vectors:
K (0.000, 0.000, 0.000)
K (0.009, 0.504, 0.500)
K (0.321, 0.160, 0.269)
K (0.321, 0.160, 0.731)
K (0.333, 0.667, 0.242)
K (0.333, 0.667, 0.758)
K (0.496, 0.504, 0.500)
K (0.496, 0.991, 0.500)
K (0.504, 0.008, 0.000)
K (0.504, 0.496, 0.000)
K (0.840, 0.160, 0.269)
K (0.840, 0.160, 0.731)
K (0.840, 0.679, 0.269)
K (0.840, 0.679, 0.731)
K (0.992, 0.496, 0.000)
Cd (0.000, 0.000, 0.500)


For ZrPa2In, a GGA-PBE-relaxed structure gives the theoretical XRD peak list in this record (Cu Kα).

Peak list (8 most intense, 5 to 70 degrees two-theta, most intense first)
| d_spacing | Position (°2θ) | I (rel.) |
| --- | --- | --- |
| 2.635 | 34.03 | 100 |
| 2.189 | 41.24 | 30 |
| 1.649 | 55.73 | 25 |
| 2.509 | 35.79 | 22 |
| 1.472 | 63.19 | 17 |
| 5.018 | 17.68 | 15 |
| 1.548 | 59.75 | 10 |
| 3.096 | 28.84 | 10 |

Structural model:
a = 4.378 Å, b = 4.378 Å, c = 5.018 Å
α = 90.00°, β = 90.00°, γ = 90.00°
Sites, in units of the cell vectors:
Zr (0.000, 0.000, 0.000)
Pa (0.000, 0.500, 0.500)
Pa (0.500, 0.000, 0.500)
In (0.500, 0.500, 0.000)


For RbB2As2, a GGA-PBE-relaxed structure gives the theoretical XRD peak list in this record (Cu Kα).

Peak list (8 most intense, 5 to 70 degrees two-theta, most intense first)
| d_spacing | Position (°2θ) | I (rel.) |
| --- | --- | --- |
| 2.506 | 35.83 | 100 |
| 2.210 | 40.84 | 38 |
| 3.910 | 22.74 | 28 |
| 1.521 | 60.90 | 18 |
| 2.097 | 43.14 | 13 |
| 2.363 | 38.08 | 12 |
| 1.563 | 59.12 | 12 |
| 1.924 | 47.25 | 9 |

Structural model:
a = 4.420 Å, b = 4.420 Å, c = 8.388 Å
α = 90.00°, β = 90.00°, γ = 90.00°
Sites, in units of the cell vectors:
Rb (0.000, 0.000, 0.000)
Rb (0.500, 0.500, 0.500)
B (0.000, 0.000, 0.390)
B (0.000, 0.000, 0.610)
B (0.500, 0.500, 0.110)
B (0.500, 0.500, 0.890)
As (0.000, 0.500, 0.250)
As (0.000, 0.500, 0.750)
As (0.500, 0.000, 0.250)
As (0.500, 0.000, 0.750)


For NaLi4Hg, a GGA-PBE-relaxed structure gives the theoretical XRD peak list in this record (Cu Kα).

Peak list (8 most intense, 5 to 70 degrees two-theta, most intense first)
| d_spacing | Position (°2θ) | I (rel.) |
| --- | --- | --- |
| 3.337 | 26.71 | 100 |
| 4.470 | 19.86 | 67 |
| 4.766 | 18.62 | 58 |
| 5.016 | 17.68 | 43 |
| 2.375 | 37.89 | 26 |
| 2.368 | 38.00 | 26 |
| 2.187 | 41.27 | 22 |
| 2.691 | 33.30 | 19 |

Structural model:
a = 9.532 Å, b = 5.062 Å, c = 5.016 Å
α = 90.00°, β = 90.23°, γ = 90.00°
Sites, in units of the cell vectors:
Na (0.000, 0.000, 0.000)
Na (0.500, 0.500, 0.000)
Li (0.157, 0.500, 0.001)
Li (0.177, 0.000, 0.500)
Li (0.323, 0.500, 0.500)
Li (0.343, 0.000, 0.999)
Li (0.657, 0.000, 0.001)
Li (0.677, 0.500, 0.500)
Li (0.823, 0.000, 0.500)
Li (0.843, 0.500, 0.999)
Hg (0.000, 0.500, 0.500)
Hg (0.500, 0.000, 0.500)


For Y2MoIr, a GGA-PBE-relaxed structure gives the theoretical XRD peak list in this record (Cu Kα).

Peak list (8 most intense, 5 to 70 degrees two-theta, most intense first)
| d_spacing | Position (°2θ) | I (rel.) |
| --- | --- | --- |
| 7.152 | 12.38 | 100 |
| 3.006 | 29.72 | 72 |
| 2.096 | 43.16 | 50 |
| 2.342 | 38.44 | 36 |
| 2.771 | 32.30 | 34 |
| 2.011 | 45.08 | 25 |
| 1.574 | 58.65 | 23 |
| 1.719 | 53.29 | 21 |

Structural model:
a = 4.192 Å, b = 4.192 Å, c = 21.456 Å
α = 90.00°, β = 90.00°, γ = 120.00°
Sites, in units of the cell vectors:
Y (0.000, 0.000, 0.000)
Y (0.000, 0.000, 0.188)
Y (0.333, 0.667, 0.667)
Y (0.333, 0.667, 0.854)
Y (0.667, 0.333, 0.333)
Y (0.667, 0.333, 0.521)
Mo (0.000, 0.000, 0.752)
Mo (0.333, 0.667, 0.419)
Mo (0.667, 0.333, 0.085)
Ir (0.000, 0.000, 0.438)
Ir (0.333, 0.667, 0.104)
Ir (0.667, 0.333, 0.771)